(1)
# Mn8O13F3
Simulated X-ray powder pattern, Cu Kα (λ = 1.5418 Å). Input: a DFT-relaxed cell (PBE+U, the Materials Project).
Peak positions follow from Bragg's law for the DFT cell and can differ from measured ones.

Cell and atoms:
Cell: 4.5175 5.5527 9.9630 Å, 89.66 89.58 87.50°
Space group P1 (No. 1)
Asymmetric unit:
Mn: 0.0000 0.0000 0.0000 [1 per cell]
Mn: 0.0058 0.7022 0.7529 [1 per cell]
Mn: 0.0172 0.0095 0.4935 [1 per cell]
Mn: 0.0408 0.7254 0.2481 [1 per cell]
Mn: 0.5080 0.2020 0.2465 [1 per cell]
Mn: 0.5150 0.5124 0.5040 [1 per cell]
Mn: 0.5234 0.5243 0.0059 [1 per cell]
Mn: 0.5440 0.2234 0.7480 [1 per cell]
O: 0.2422 0.7472 0.9129 [1 per cell]
O: 0.2467 0.9676 0.1579 [1 per cell]
O: 0.2647 0.7548 0.4134 [1 per cell]
O: 0.2863 0.4794 0.1657 [1 per cell]
O: 0.2923 0.4740 0.6653 [1 per cell]
O: 0.2946 0.2513 0.4146 [1 per cell]
O: 0.7462 0.2458 0.0849 [1 per cell]
O: 0.7462 0.4716 0.8383 [1 per cell]
O: 0.7650 0.2564 0.5846 [1 per cell]
O: 0.7821 0.9756 0.8342 [1 per cell]
O: 0.7936 0.7526 0.5850 [1 per cell]
O: 0.7944 0.7584 0.0912 [1 per cell]
O: 0.7957 0.9766 0.3349 [1 per cell]
F: 0.2617 0.9839 0.6627 [1 per cell]
F: 0.2739 0.2360 0.9098 [1 per cell]
F: 0.7669 0.4891 0.3361 [1 per cell]

Principal peaks in the range 10° ≤ 2θ ≤ 90°, by angle:
| two_theta | intensity | (hkl) |
| --- | --- | --- |
| 24.88 | 62 | 1 1 0 |
| 25.99 | 53 | 1 -1 0 |
| 30.63 | 52 | 1 1 2 |
| 30.90 | 45 | 1 1 -2 |
| 31.68 | 100 | -1 1 2 |
| 54.68 | 45 | 2 0 4 |

(2)
# Mn3O4F2
Simulated X-ray powder pattern, Cu Kα (λ = 1.5418 Å). Input: a DFT-relaxed cell (PBE+U, the Materials Project).
Peak positions follow from Bragg's law for the DFT cell and can differ from measured ones.

Cell and atoms:
Cell: 6.5011 6.5004 9.2491 Å, 90.00 90.44 90.00°
Space group C2 (No. 5)
Asymmetric unit:
Mn: 0.0000 0.0000 0.0000 [2 per cell]
Mn: 0.0000 0.4999 0.5000 [2 per cell]
Mn: 0.0054 0.0297 0.3397 [4 per cell]
Mn: 0.0248 0.4982 0.8405 [4 per cell]
O: 0.0000 0.3054 0.0000 [2 per cell]
O: 0.0000 0.6938 0.0000 [2 per cell]
O: 0.0074 0.3204 0.6722 [4 per cell]
O: 0.1824 0.0107 0.1705 [4 per cell]
O: 0.1933 0.0195 0.5001 [4 per cell]
F: 0.0060 0.7163 0.6699 [4 per cell]
F: 0.2115 0.0125 0.8190 [4 per cell]

Principal peaks in the range 10° ≤ 2θ ≤ 90°, by angle:
| two_theta | intensity | (hkl) |
| --- | --- | --- |
| 27.44 | 100 | 2 0 0 |
| 34.96 | 31 | 1 1 -3 |
| 35.14 | 26 | 1 1 3 |
| 53.39 | 15 | 3 1 -3 |
| 53.52 | 16 | 1 3 -3 |
| 56.64 | 17 | 0 4 0 |

(3)
# Mn5O3F5
Simulated X-ray powder pattern, Cu Kα (λ = 1.5418 Å). Input: a DFT-relaxed cell (PBE+U, the Materials Project).
Peak positions follow from Bragg's law for the DFT cell and can differ from measured ones.

Cell and atoms:
Cell: 10.9781 6.2999 6.1923 Å, 90.00 122.45 90.00°
Space group Cm (No. 8)
Asymmetric unit:
Mn: 0.0000 0.0000 0.0000 [2 per cell]
Mn: 0.1119 0.2607 0.6457 [4 per cell]
Mn: 0.2155 0.5000 0.2412 [2 per cell]
Mn: 0.3631 0.0000 0.1343 [2 per cell]
O: 0.0943 0.5000 0.3986 [2 per cell]
O: 0.1208 0.5000 0.8657 [2 per cell]
O: 0.1315 0.0000 0.8644 [2 per cell]
F: 0.1027 0.0000 0.3988 [2 per cell]
F: 0.3597 0.2497 0.8876 [4 per cell]
F: 0.3672 0.2555 0.3771 [4 per cell]

Principal peaks in the range 10° ≤ 2θ ≤ 90°, by angle:
| two_theta | intensity | (hkl) |
| --- | --- | --- |
| 17.49 | 48 | 2 0 -1 |
| 28.25 | 82 | 3 1 -1 |
| 31.97 | 47 | 2 0 1 |
| 33.21 | 100 | 0 2 1 |
| 33.45 | 66 | 1 1 -2 |
| 56.96 | 54 | 2 2 2 |

(4)
# Mn12O5F19
Simulated X-ray powder pattern, Cu Kα (λ = 1.5418 Å). Input: a DFT-relaxed cell (PBE+U, the Materials Project).
Peak positions follow from Bragg's law for the DFT cell and can differ from measured ones.

Cell and atoms:
Cell: 5.0187 5.6086 15.7502 Å, 87.62 88.57 84.55°
Space group P1 (No. 1)
Asymmetric unit:
Mn: 0.0000 0.0000 0.0000 [1 per cell]
Mn: 0.0010 0.3738 0.8444 [1 per cell]
Mn: 0.0144 0.3776 0.4932 [1 per cell]
Mn: 0.0226 0.3955 0.1741 [1 per cell]
Mn: 0.0502 0.0268 0.6582 [1 per cell]
Mn: 0.4702 0.8735 0.1508 [1 per cell]
Mn: 0.5025 0.5384 0.6680 [1 per cell]
Mn: 0.5063 0.5045 0.9976 [1 per cell]
Mn: 0.5130 0.8719 0.4960 [1 per cell]
Mn: 0.5148 0.8866 0.8188 [1 per cell]
Mn: 0.5408 0.4939 0.3429 [1 per cell]
Mn: 0.9614 0.9518 0.3317 [1 per cell]
O: 0.2276 0.0839 0.5497 [1 per cell]
O: 0.2634 0.7577 0.0474 [1 per cell]
O: 0.2901 0.7922 0.7166 [1 per cell]
O: 0.7627 0.6413 0.4392 [1 per cell]
O: 0.7816 0.2756 0.9508 [1 per cell]
F: 0.2162 0.2995 0.3846 [1 per cell]
F: 0.2296 0.0830 0.2321 [1 per cell]
F: 0.2373 0.0639 0.8980 [1 per cell]
F: 0.2787 0.2534 0.0668 [1 per cell]
F: 0.2838 0.2846 0.7335 [1 per cell]
F: 0.2845 0.7952 0.3985 [1 per cell]
F: 0.2922 0.5961 0.2315 [1 per cell]
F: 0.2989 0.5740 0.5586 [1 per cell]
F: 0.3189 0.5587 0.8865 [1 per cell]
F: 0.7295 0.5668 0.0958 [1 per cell]
F: 0.7328 0.8239 0.6034 [1 per cell]
F: 0.7370 0.1382 0.4382 [1 per cell]
F: 0.7425 0.2422 0.2661 [1 per cell]
F: 0.7546 0.5832 0.7633 [1 per cell]
F: 0.7641 0.7758 0.9263 [1 per cell]
F: 0.7667 0.7289 0.2546 [1 per cell]
F: 0.7929 0.3214 0.6122 [1 per cell]
F: 0.8104 0.0490 0.1087 [1 per cell]
F: 0.8275 0.0817 0.7671 [1 per cell]

Principal peaks in the range 10° ≤ 2θ ≤ 90°, by angle:
| two_theta | intensity | (hkl) |
| --- | --- | --- |
| 22.75 | 42 | 1 1 0 |
| 27.86 | 100 | 1 1 3 |
| 29.09 | 92 | 1 1 -3 |
| 30.21 | 83 | -1 1 3 |
| 30.50 | 79 | 1 -1 3 |
| 51.03 | 43 | 2 0 -6 |

(5)
# Mn8O13F3
Simulated X-ray powder pattern, Cu Kα (λ = 1.5418 Å). Input: a DFT-relaxed cell (PBE+U, the Materials Project).
Peak positions follow from Bragg's law for the DFT cell and can differ from measured ones.

Cell and atoms:
Cell: 4.5170 5.5414 9.9930 Å, 89.62 89.88 89.00°
Space group P1 (No. 1)
Asymmetric unit:
Mn: 0.0000 0.0000 0.0000 [1 per cell]
Mn: 0.0018 0.3091 0.7455 [1 per cell]
Mn: 0.4709 0.7879 0.7393 [1 per cell]
Mn: 0.4939 0.4881 0.4934 [1 per cell]
Mn: 0.4978 0.4980 0.9880 [1 per cell]
Mn: 0.5082 0.8105 0.2394 [1 per cell]
Mn: 0.9702 0.2877 0.2500 [1 per cell]
Mn: 0.9723 0.0110 0.5030 [1 per cell]
O: 0.2092 0.2579 0.4112 [1 per cell]
O: 0.2131 0.0329 0.6618 [1 per cell]
O: 0.2142 0.0332 0.1620 [1 per cell]
O: 0.2194 0.2595 0.9102 [1 per cell]
O: 0.2521 0.7556 0.9080 [1 per cell]
O: 0.2583 0.5373 0.6536 [1 per cell]
O: 0.7090 0.7639 0.5785 [1 per cell]
O: 0.7122 0.5330 0.3276 [1 per cell]
O: 0.7177 0.5367 0.8265 [1 per cell]
O: 0.7220 0.7564 0.0758 [1 per cell]
O: 0.7522 0.2535 0.0813 [1 per cell]
O: 0.7562 0.0440 0.3379 [1 per cell]
O: 0.7569 0.2615 0.5878 [1 per cell]
F: 0.2391 0.7681 0.4070 [1 per cell]
F: 0.2415 0.5235 0.1592 [1 per cell]
F: 0.7448 0.0264 0.8322 [1 per cell]

Principal peaks in the range 10° ≤ 2θ ≤ 90°, by angle:
| two_theta | intensity | (hkl) |
| --- | --- | --- |
| 25.22 | 100 | 1 1 0 |
| 25.66 | 95 | 1 -1 0 |
| 30.93 | 83 | 1 1 2 |
| 31.10 | 84 | 1 1 -2 |
| 31.34 | 81 | -1 1 2 |
| 31.42 | 89 | 1 -1 2 |

(6)
# Mn6O7F5
Simulated X-ray powder pattern, Cu Kα (λ = 1.5418 Å). Input: a DFT-relaxed cell (PBE+U, the Materials Project).
Peak positions follow from Bragg's law for the DFT cell and can differ from measured ones.

Cell and atoms:
Cell: 5.5507 5.5806 7.3533 Å, 73.83 72.68 71.25°
Space group P1 (No. 1)
Asymmetric unit:
Mn: 0.0000 0.0000 0.0000 [1 per cell]
Mn: 0.0071 0.9471 0.5068 [1 per cell]
Mn: 0.2998 0.2972 0.6657 [1 per cell]
Mn: 0.3681 0.3139 0.1862 [1 per cell]
Mn: 0.6435 0.6681 0.3397 [1 per cell]
Mn: 0.6507 0.6505 0.8279 [1 per cell]
O: 0.2241 0.1851 0.4756 [1 per cell]
O: 0.2983 0.6435 0.5089 [1 per cell]
O: 0.3449 0.9581 0.8333 [1 per cell]
O: 0.5712 0.5547 0.1279 [1 per cell]
O: 0.6609 0.0235 0.1679 [1 per cell]
O: 0.7628 0.7401 0.5410 [1 per cell]
O: 0.9593 0.3504 0.8270 [1 per cell]
F: 0.0462 0.6154 0.1727 [1 per cell]
F: 0.1274 0.0934 0.1970 [1 per cell]
F: 0.4153 0.4022 0.8669 [1 per cell]
F: 0.6882 0.2559 0.5125 [1 per cell]
F: 0.8906 0.8761 0.8124 [1 per cell]

Principal peaks in the range 10° ≤ 2θ ≤ 90°, by angle:
| two_theta | intensity | (hkl) |
| --- | --- | --- |
| 27.01 | 98 | 1 1 2 |
| 27.52 | 100 | 1 -1 0 |
| 34.11 | 33 | 0 1 -2 |
| 34.61 | 30 | 1 0 -2 |
| 52.63 | 31 | 0 1 4 |
| 53.73 | 29 | -2 1 2 |

(7)
# Mn2P2O7F2
Simulated X-ray powder pattern, Cu Kα (λ = 1.5418 Å). Input: a DFT-relaxed cell (PBE+U, the Materials Project).
Peak positions follow from Bragg's law for the DFT cell and can differ from measured ones.

Cell and atoms:
Cell: 6.7538 11.1207 10.0232 Å, 90.00 90.00 90.00°
Space group Pbcn (No. 60)
Asymmetric unit:
Mn: 0.0000 0.0000 0.0000 [4 per cell]
Mn: 0.0000 0.1744 0.2500 [4 per cell]
P: 0.2166 0.4250 0.2463 [8 per cell]
O: 0.0000 0.4864 0.2500 [4 per cell]
O: 0.1605 0.0153 0.3318 [8 per cell]
O: 0.2029 0.3007 0.3067 [8 per cell]
O: 0.2098 0.0758 0.6017 [8 per cell]
F: 0.1097 0.1643 0.0807 [8 per cell]

Principal peaks in the range 10° ≤ 2θ ≤ 90°, by angle:
| two_theta | intensity | (hkl) |
| --- | --- | --- |
| 15.35 | 68 | 1 1 0 |
| 15.94 | 29 | 0 2 0 |
| 17.72 | 100 | 0 0 2 |
| 23.51 | 23 | 1 1 2 |
| 32.27 | 37 | 2 2 1 |
| 32.85 | 23 | 1 3 2 |

(8)
# Rb2MnOF5
Simulated X-ray powder pattern, Cu Kα (λ = 1.5418 Å). Input: a DFT-relaxed cell (PBE+U, the Materials Project).
Peak positions follow from Bragg's law for the DFT cell and can differ from measured ones.

Cell and atoms:
Cell: 8.6651 9.3439 8.2816 Å, 90.00 90.00 90.00°
Space group Cmcm (No. 63)
Asymmetric unit:
Rb: 0.2446 0.2350 0.2500 [8 per cell]
Mn: 0.0000 0.5000 0.0000 [4 per cell]
O: 0.0000 0.0247 0.7500 [4 per cell]
F: 0.0000 0.2995 0.0064 [8 per cell]
F: 0.0000 0.4933 0.7500 [4 per cell]
F: 0.2160 0.5000 0.0000 [8 per cell]

Principal peaks in the range 10° ≤ 2θ ≤ 90°, by angle:
| two_theta | intensity | (hkl) |
| --- | --- | --- |
| 13.94 | 72 | 1 1 0 |
| 28.09 | 75 | 2 2 0 |
| 28.81 | 73 | 0 2 2 |
| 29.85 | 65 | 2 0 2 |
| 35.62 | 100 | 2 2 2 |
| 38.54 | 38 | 0 4 0 |